Structure and computed PXRD pattern of Fe2Cu8P4O21 (a DFT-relaxed cell (PBE+U, the Materials Project); Cu Kα, 1.54184 Å).

Main lines, in order of rising 2θ (15 to 90 degrees two-theta):
d 5.595, rel. 796; d 5.092, rel. 613; d 4.773, rel. 517; d 4.721, rel. 425; d 3.657, rel. 478; d 2.993, rel. 1000; d 2.959, rel. 729; d 2.554, rel. 421; d 2.492, rel. 725; d 2.421, rel. 749; d 1.577, rel. 474; d 1.564, rel. 667

Atomic structure:
Unit cell a=8.632 b=8.632 c=9.638 alpha=112.52 beta=112.52 gamma=41.01
Fractional coordinates of all 35 atoms:
1 Fe 0.000 0.500 0.000
2 Fe 0.500 0.000 0.000
3 Cu 0.032 0.032 0.815
4 Cu 0.127 0.640 0.549
5 Cu 0.130 0.130 0.136
6 Cu 0.360 0.873 0.451
7 Cu 0.640 0.127 0.549
8 Cu 0.870 0.870 0.864
9 Cu 0.873 0.360 0.451
10 Cu 0.968 0.968 0.185
11 P 0.270 0.270 0.721
12 P 0.418 0.418 0.288
13 P 0.582 0.582 0.712
14 P 0.730 0.730 0.279
15 O 0.000 0.000 0.000
16 O 0.076 0.495 0.822
17 O 0.100 0.100 0.308
18 O 0.161 0.161 0.949
19 O 0.168 0.168 0.604
20 O 0.262 0.687 0.308
21 O 0.313 0.738 0.692
22 O 0.336 0.336 0.642
23 O 0.340 0.340 0.123
24 O 0.378 0.378 0.411
25 O 0.495 0.076 0.822
26 O 0.505 0.924 0.178
27 O 0.622 0.622 0.589
28 O 0.660 0.660 0.877
29 O 0.664 0.664 0.358
30 O 0.687 0.262 0.308
31 O 0.738 0.313 0.692
32 O 0.832 0.832 0.396
33 O 0.839 0.839 0.051
34 O 0.900 0.900 0.692
35 O 0.924 0.505 0.178